1.
Diffraction record for CaLa3Sm3. The powder XRD pattern is simulated, not measured: it uses DFT lattice parameters and positions (PBE) and λ = 1.5418 Å (Cu Kα).
No peak broadening, texture or thermal motion is included.

Main lines, low angle first (2θ = 10–90°):
| (hkl) | d/Å | two_theta | I/Imax |
| --- | --- | --- | --- |
| 1 0 0 | 7.317 | 12.1 | 32 |
| 1 0 2 | 3.025 | 29.5 | 28 |
| 1 1 -3 | 2.907 | 30.8 | 89 |
| 2 1 -1 | 2.894 | 30.9 | 100 |
| 2 -3 2 | 2.828 | 31.6 | 62 |
| 1 -3 0 | 2.464 | 36.5 | 27 |

Structural model:
```
data_CaLa3Sm3
_space_group_name_H-M_alt 'P -1'
_space_group_IT_number 2
_space_group_name_Hall '-P 1'
_cell_length_a 8.9103
_cell_length_b 8.9118
_cell_length_c 9.2368
_cell_angle_alpha 118.83
_cell_angle_beta 90.01
_cell_angle_gamma 119.99
loop_
_atom_site_label
_atom_site_type_symbol
_atom_site_fract_x
_atom_site_fract_y
_atom_site_fract_z
_atom_site_occupancy
Ca1 Ca 0.1550 0.3107 0.4657 1
La1 La 0.0695 0.6404 0.8641 1
La2 La 0.2235 0.2925 0.8635 1
La3 La 0.4289 0.2059 0.1369 1
Sm1 Sm 0.2176 0.8913 0.3242 1
Sm2 Sm 0.3273 0.8947 0.6769 1
Sm3 Sm 0.4325 0.6505 0.3237 1
```

2.
Diffraction record for K2NaUBr8. The powder XRD pattern is simulated, not measured: it uses DFT lattice parameters and positions (PBE) and λ = 1.5418 Å (Cu Kα).
No peak broadening, texture or thermal motion is included.

Main lines, low angle first (2θ = 10–90°):
| (hkl) | d/Å | two_theta | I/Imax |
| --- | --- | --- | --- |
| 0 1 0 | 7.437 | 11.9 | 84 |
| 0 1 1 | 5.947 | 14.9 | 92 |
| 1 0 1 | 5.681 | 15.6 | 83 |
| 1 1 0 | 5.303 | 16.7 | 100 |
| 1 1 2 | 3.630 | 24.5 | 79 |
| 1 1 -2 | 3.609 | 24.7 | 80 |

Structural model:
```
data_K2NaUBr8
_space_group_name_H-M_alt 'P -1'
_space_group_IT_number 2
_space_group_name_Hall '-P 1'
_cell_length_a 6.9599
_cell_length_b 7.4642
_cell_length_c 9.9055
_cell_angle_alpha 89.72
_cell_angle_beta 89.78
_cell_angle_gamma 85.09
loop_
_atom_site_label
_atom_site_type_symbol
_atom_site_fract_x
_atom_site_fract_y
_atom_site_fract_z
_atom_site_occupancy
K1 K 0.0033 0.0001 0.2270 1
Na1 Na 0.5000 0.5000 0.0000 1
U1 U 0.5000 0.5000 0.5000 1
Br1 Br 0.2380 0.7906 0.9986 1
Br2 Br 0.2704 0.8139 0.5009 1
Br3 Br 0.2794 0.3705 0.3069 1
Br4 Br 0.2804 0.3676 0.6945 1
```

3.
Diffraction record for ScTlAs2O8. The powder XRD pattern is simulated, not measured: it uses DFT lattice parameters and positions (PBE) and λ = 1.5418 Å (Cu Kα).
No peak broadening, texture or thermal motion is included.

Main lines, low angle first (2θ = 10–90°):
| (hkl) | d/Å | two_theta | I/Imax |
| --- | --- | --- | --- |
| 0 0 1 | 6.450 | 13.7 | 77 |
| 1 0 0 | 4.802 | 18.5 | 70 |
| 1 0 1 | 3.852 | 23.1 | 89 |
| 1 1 0 | 2.773 | 32.3 | 100 |
| 1 0 2 | 2.677 | 33.5 | 88 |
| 1 1 1 | 2.547 | 35.2 | 62 |

Structural model:
```
data_ScTlAs2O8
_space_group_name_H-M_alt 'P -3 m 1'
_space_group_IT_number 164
_space_group_name_Hall '-P 3 2"'
_cell_length_a 5.5454
_cell_length_b 5.5454
_cell_length_c 6.4503
_cell_angle_alpha 90.00
_cell_angle_beta 90.00
_cell_angle_gamma 120.00
loop_
_atom_site_label
_atom_site_type_symbol
_atom_site_fract_x
_atom_site_fract_y
_atom_site_fract_z
_atom_site_occupancy
Sc1 Sc 0.0000 0.0000 0.0000 1
Tl1 Tl 0.0000 0.0000 0.5000 1
As1 As 0.3333 0.6667 0.3105 1
O1 O 0.1633 0.3266 0.2173 1
O2 O 0.3333 0.6667 0.5684 1
```

4.
Diffraction record for SmPuAl6. The powder XRD pattern is simulated, not measured: it uses DFT lattice parameters and positions (PBE) and λ = 1.5418 Å (Cu Kα).
No peak broadening, texture or thermal motion is included.

Main lines, low angle first (2θ = 10–90°):
| (hkl) | d/Å | two_theta | I/Imax |
| --- | --- | --- | --- |
| 0 0 1 | 6.019 | 14.7 | 58 |
| 1 1 0 | 3.586 | 24.8 | 100 |
| 1 1 1 | 3.081 | 29.0 | 72 |
| 0 1 2 | 2.693 | 33.3 | 83 |
| 1 0 2 | 2.495 | 36.0 | 59 |
| 1 2 1 | 2.307 | 39.0 | 66 |

Structural model:
```
data_SmPuAl6
_space_group_name_H-M_alt 'P m m 2'
_space_group_IT_number 25
_space_group_name_Hall 'P 2 -2'
_cell_length_a 4.4625
_cell_length_b 6.0282
_cell_length_c 6.0172
_cell_angle_alpha 90.00
_cell_angle_beta 90.00
_cell_angle_gamma 90.00
loop_
_atom_site_label
_atom_site_type_symbol
_atom_site_fract_x
_atom_site_fract_y
_atom_site_fract_z
_atom_site_occupancy
Sm1 Sm 0.0000 0.0000 0.0000 1
Pu1 Pu 0.5000 0.5000 0.7748 1
Al1 Al 0.0000 0.2521 0.5287 1
Al2 Al 0.0000 0.5000 0.1265 1
Al3 Al 0.5000 0.0000 0.6323 1
Al4 Al 0.5000 0.2643 0.2538 1
```

5.
Diffraction record for Nd3Ag3Bi4. The powder XRD pattern is simulated, not measured: it uses DFT lattice parameters and positions (PBE) and λ = 1.5418 Å (Cu Kα).
No peak broadening, texture or thermal motion is included.

Main lines, low angle first (2θ = 10–90°):
| (hkl) | d/Å | two_theta | I/Imax |
| --- | --- | --- | --- |
| 3 1 0 | 3.272 | 27.3 | 29 |
| 3 2 1 | 2.766 | 32.4 | 100 |
| 4 2 0 | 2.314 | 38.9 | 21 |
| 4 2 2 | 2.112 | 42.8 | 19 |
| 4 3 1 | 2.030 | 44.6 | 15 |
| 6 2 0 | 1.636 | 56.2 | 11 |

Structural model:
```
data_Nd3Ag3Bi4
_space_group_name_H-M_alt 'I -4 3 d'
_space_group_IT_number 220
_space_group_name_Hall 'I -4bd 2c 3'
_cell_length_a 10.3485
_cell_length_b 10.3485
_cell_length_c 10.3485
_cell_angle_alpha 90.00
_cell_angle_beta 90.00
_cell_angle_gamma 90.00
loop_
_atom_site_label
_atom_site_type_symbol
_atom_site_fract_x
_atom_site_fract_y
_atom_site_fract_z
_atom_site_occupancy
Nd1 Nd 0.0000 0.2500 0.8750 1
Ag1 Ag 0.0000 0.2500 0.3750 1
Bi1 Bi 0.0880 0.4120 0.5880 1
```

6.
Diffraction record for B2P. The powder XRD pattern is simulated, not measured: it uses DFT lattice parameters and positions (PBE) and λ = 1.5418 Å (Cu Kα).
No peak broadening, texture or thermal motion is included.

Main lines, low angle first (2θ = 10–90°):
| (hkl) | d/Å | two_theta | I/Imax |
| --- | --- | --- | --- |
| 2 0 0 | 3.457 | 25.8 | 19 |
| 0 0 2 | 2.733 | 32.8 | 100 |
| 1 1 1 | 2.541 | 35.3 | 63 |
| 3 0 0 | 2.305 | 39.1 | 35 |
| 2 0 2 | 2.144 | 42.1 | 22 |
| 3 0 2 | 1.762 | 51.9 | 61 |

Structural model:
```
data_B2P
_space_group_name_H-M_alt 'A m m 2'
_space_group_IT_number 38
_space_group_name_Hall 'A 2 -2'
_cell_length_a 6.9142
_cell_length_b 3.1519
_cell_length_c 5.4738
_cell_angle_alpha 90.00
_cell_angle_beta 90.00
_cell_angle_gamma 90.00
loop_
_atom_site_label
_atom_site_type_symbol
_atom_site_fract_x
_atom_site_fract_y
_atom_site_fract_z
_atom_site_occupancy
B1 B 0.0000 0.0000 0.0000 1
B2 B 0.0000 0.0000 0.3299 1
B3 B 0.2389 0.0000 0.1637 1
P1 P 0.3354 0.0000 0.8301 1
```

7.
Diffraction record for La6TlZn2. The powder XRD pattern is simulated, not measured: it uses DFT lattice parameters and positions (PBE) and λ = 1.5418 Å (Cu Kα).
No peak broadening, texture or thermal motion is included.

Main lines, low angle first (2θ = 10–90°):
| (hkl) | d/Å | two_theta | I/Imax |
| --- | --- | --- | --- |
| 2 2 2 | 3.008 | 29.7 | 100 |
| 1 2 3 | 2.854 | 31.3 | 25 |
| 3 1 2 | 2.767 | 32.4 | 34 |
| 0 0 4 | 2.742 | 32.7 | 22 |
| 3 2 1 | 2.728 | 32.8 | 22 |
| 0 4 0 | 2.558 | 35.1 | 35 |

Structural model:
```
data_La6TlZn2
_space_group_name_H-M_alt 'I m m m'
_space_group_IT_number 71
_space_group_name_Hall '-I 2 2'
_cell_length_a 10.1227
_cell_length_b 10.2262
_cell_length_c 10.9745
_cell_angle_alpha 90.00
_cell_angle_beta 90.00
_cell_angle_gamma 90.00
loop_
_atom_site_label
_atom_site_type_symbol
_atom_site_fract_x
_atom_site_fract_y
_atom_site_fract_z
_atom_site_occupancy
La1 La 0.0000 0.2199 0.1860 1
La2 La 0.1935 0.2244 0.5000 1
La3 La 0.2058 0.5000 0.2568 1
Tl1 Tl 0.0000 0.5000 0.0000 1
Tl2 Tl 0.0000 0.5000 0.5000 1
Zn1 Zn 0.0000 0.0000 0.3811 1
Zn2 Zn 0.1308 0.0000 0.0000 1
```

8.
Diffraction record for Sr7RuN6. The powder XRD pattern is simulated, not measured: it uses DFT lattice parameters and positions (PBE) and λ = 1.5418 Å (Cu Kα).
No peak broadening, texture or thermal motion is included.

Main lines, low angle first (2θ = 10–90°):
| (hkl) | d/Å | two_theta | I/Imax |
| --- | --- | --- | --- |
| 1 2 1 | 3.139 | 28.4 | 25 |
| 2 0 4 | 3.015 | 29.6 | 100 |
| 4 0 0 | 2.978 | 30.0 | 28 |
| 2 2 2 | 2.692 | 33.3 | 26 |
| 4 1 1 | 2.671 | 33.6 | 28 |
| 1 2 3 | 2.650 | 33.8 | 19 |

Structural model:
```
data_Sr7RuN6
_space_group_name_H-M_alt 'P b c n'
_space_group_IT_number 60
_space_group_name_Hall '-P 2n 2ab'
_cell_length_a 11.9131
_cell_length_b 6.6928
_cell_length_c 13.9778
_cell_angle_alpha 90.00
_cell_angle_beta 90.00
_cell_angle_gamma 90.00
loop_
_atom_site_label
_atom_site_type_symbol
_atom_site_fract_x
_atom_site_fract_y
_atom_site_fract_z
_atom_site_occupancy
Sr1 Sr 0.0000 0.0679 0.2500 1
Sr2 Sr 0.0361 0.2335 0.5189 1
Sr3 Sr 0.2112 0.3915 0.1217 1
Sr4 Sr 0.2185 0.3673 0.8748 1
Ru1 Ru 0.0000 0.4233 0.7500 1
N1 N 0.0340 0.4116 0.3594 1
N2 N 0.1232 0.2570 0.7071 1
N3 N 0.1671 0.0935 0.9961 1
```